Computed powder XRD pattern
Compound: KSr2Br5
Radiation: Cu Kα X-rays
Structure: the PBE geometry in the Materials Project
Peak positions follow from Bragg's law for the DFT cell and can differ from measured ones.

Largest 6 diffraction maxima, sorted by position, 2θ = 10–90°:
Position (°2θ)	d_spacing	I_rel	hkl
25.28	3.523	612	2 1 2
28.29	3.154	458	0 1 4
29.06	3.073	627	2 2 -1
31.26	2.861	1000	2 2 2
32.49	2.756	597	2 0 -4
38.20	2.356	392	4 0 0

Cell and atoms:
Cell lengths 9.424, 8.494, 13.589 Å; angles 90.00, 90.09, 90.00 degrees
Space group P2_1/c (No. 14)
Unique sites:
K1 0.004 0.022 0.178
Sr1 0.251 0.072 0.494
Sr2 0.500 0.023 0.178
Br1 0.037 0.662 0.091
Br2 0.272 0.196 0.715
Br3 0.281 0.045 0.997
Br4 0.283 0.666 0.817
Br5 0.459 0.661 0.101

***

Computed powder XRD pattern
Compound: KTiBr3
Radiation: Cu Kα X-rays
Structure: the PBE geometry in the Materials Project
Peak positions follow from Bragg's law for the DFT cell and can differ from measured ones.

Largest 6 diffraction maxima, sorted by position, 2θ = 10–90°:
Position (°2θ)	d_spacing	I_rel	hkl
13.21	6.700	625	1 1 0
25.26	3.526	264	1 2 1
30.65	2.917	1000	2 2 1
31.63	2.829	380	3 1 1
36.59	2.456	287	1 2 2
56.84	1.620	241	6 0 2

Cell and atoms:
Cell lengths 13.3998, 13.3998, 5.9289 Å; angles 90.00, 90.00, 120.00 degrees
Space group P6_3 (No. 173)
Unique sites:
K1 0.0009 0.3576 0.0000
Ti1 0.0000 0.0000 0.4955
Ti2 0.3333 0.6667 0.2805
Ti3 0.3333 0.6667 0.7194
Br1 0.0951 0.1914 0.7457
Br2 0.1620 0.4941 0.4991
Br3 0.1719 0.6676 0.0007

***

Computed powder XRD pattern
Compound: KTmBr3
Radiation: Cu Kα X-rays
Structure: the PBE geometry in the Materials Project
Peak positions follow from Bragg's law for the DFT cell and can differ from measured ones.

Largest 6 diffraction maxima, sorted by position, 2θ = 10–90°:
Position (°2θ)	d_spacing	I_rel	hkl
16.10	5.505	1000	1 0 1
16.20	5.470	498	0 2 0
22.92	3.880	425	1 2 1
32.53	2.753	594	2 0 2
36.54	2.459	370	2 2 2
40.84	2.210	387	1 2 3

Cell and atoms:
Cell lengths 7.982, 10.939, 7.603 Å; angles 90.00, 90.00, 90.00 degrees
Space group Pnma (No. 62)
Unique sites:
K1 0.072 0.250 0.027
Tm1 0.000 0.000 0.500
Br1 0.023 0.750 0.400
Br2 0.204 0.544 0.800